# 1
Calculated X-ray diffraction stick pattern
Compound: BaSnHg2Bi
Radiation: copper Kα
Structure: a GGA-PBE-relaxed structure
Lines closer than 0.1° are merged.

Structure:
```
data_BaSnHg2Bi
_cell_length_a 5.010
_cell_length_b 5.620
_cell_length_c 11.805
_cell_angle_alpha 90.00
_cell_angle_beta 90.00
_cell_angle_gamma 90.00
_space_group_name_H-M_alt 'I m m 2'
_space_group_IT_number 44
loop_
_space_group_symop_operation_xyz
'x,y,z'
'-x,-y,z'
'-x,y,z'
'x,-y,z'
'x+1/2,y+1/2,z+1/2'
'-x+1/2,-y+1/2,z+1/2'
'-x+1/2,y+1/2,z+1/2'
'x+1/2,-y+1/2,z+1/2'
loop_
_atom_site_label
_atom_site_type_symbol
_atom_site_fract_x
_atom_site_fract_y
_atom_site_fract_z
Ba1 Ba 0.000 0.000 0.000
Sn1 Sn 0.000 0.500 0.736
Hg1 Hg 0.000 0.000 0.364
Hg2 Hg 0.000 0.500 0.285
Bi1 Bi 0.000 0.000 0.616
```

Top 10 peaks for 2θ = 10–80°, most intense first:
2θ/deg  I (rel.)  index
28.3  100.0  1 1 2
28.9  85.4  1 0 3
31.8  72.5  0 2 0
38.9  59.1  1 1 4
43.5  57.0  1 2 3
35.8  53.1  2 0 0
48.7  45.2  2 2 0
41.5  38.0  0 1 5
19.2  32.7  1 0 1
56.0  32.0  2 1 5


# 2
Calculated X-ray diffraction stick pattern
Compound: Ta3Mo3N4
Radiation: copper Kα
Structure: a GGA-PBE-relaxed structure
Lines closer than 0.1° are merged.

Structure:
```
data_Ta3Mo3N4
_cell_length_a 3.048
_cell_length_b 3.048
_cell_length_c 12.700
_cell_angle_alpha 90.00
_cell_angle_beta 90.00
_cell_angle_gamma 90.00
_space_group_name_H-M_alt 'P 4 m m'
_space_group_IT_number 99
loop_
_space_group_symop_operation_xyz
'x,y,z'
'-y,x,z'
'-x,-y,z'
'y,-x,z'
'-x,y,z'
'y,x,z'
'x,-y,z'
'-y,-x,z'
loop_
_atom_site_label
_atom_site_type_symbol
_atom_site_fract_x
_atom_site_fract_y
_atom_site_fract_z
Ta1 Ta 0.000 0.000 0.000
Ta2 Ta 0.000 0.000 0.295
Ta3 Ta 0.500 0.500 0.501
Mo1 Mo 0.000 0.000 0.653
Mo2 Mo 0.500 0.500 0.148
Mo3 Mo 0.500 0.500 0.796
N1 N 0.000 0.000 0.475
N2 N 0.000 0.000 0.821
N3 N 0.500 0.500 0.325
N4 N 0.500 0.500 0.972
```

Top 10 peaks for 2θ = 10–80°, most intense first:
2θ/deg  I (rel.)  index
36.3  100.0  1 0 3
41.9  47.9  1 1 0
72.9  27.2  2 1 3
61.4  20.1  1 1 6
60.8  15.6  2 0 0
42.7  15.2  0 0 6
28.1  11.8  0 0 4
77.1  10.3  2 0 6
51.2  9.2  1 1 4
30.2  8.8  1 0 1